For Ir3OsRu4, a cell relaxed with GGA-PBE gives the simulated X-ray diffraction stick pattern in this record (Cu Kα).

Atomic structure:
```
data_Ir3OsRu4
_chemical_formula_sum 'Ir6 Os2 Ru8'
_space_group_name_H-M_alt 'I 4/m m m'
_space_group_IT_number 139
_space_group_name_Hall '-I 4 2'
_cell_length_a 3.8457
_cell_length_b 3.8457
_cell_length_c 15.3401
_cell_angle_alpha 90.00
_cell_angle_beta 90.00
_cell_angle_gamma 90.00
loop_
_atom_site_label
_atom_site_type_symbol
_atom_site_fract_x
_atom_site_fract_y
_atom_site_fract_z
Ir1 Ir 0.0000 0.0000 0.0000
Ir2 Ir 0.0000 0.0000 0.2485
Os1 Os 0.0000 0.0000 0.5000
Ru1 Ru 0.0000 0.5000 0.1242
```

Principal peaks in the range 2θ = 10–80°, in order of rising 2θ:
2θ 23.19, d = 3.835 Å, I = 8.6, hkl 0 0 4; 2θ 40.67, d = 2.218 Å, I = 100.0, hkl 1 1 4; 2θ 47.27, d = 1.923 Å, I = 32.5, hkl 2 0 0; 2θ 47.41, d = 1.918 Å, I = 16.1, hkl 0 0 8; 2θ 69.08, d = 1.360 Å, I = 10.5, hkl 2 2 0; 2θ 69.19, d = 1.358 Å, I = 20.8, hkl 2 0 8